This entry pairs a crystal structure of Rb2Co2O3 with its simulated powder diffractogram. Radiation: λ = 1.5418 Å (Cu Kα). Structure: a DFT-relaxed cell (PBE+U, OQMD).

Peak list (10 most intense, 2θ from 10° to 90°, in order of rising 2θ)
| (hkl) | two_theta | I_rel |
| --- | --- | --- |
| 1 1 2 | 28.20 | 50 |
| 0 2 0 | 29.23 | 85 |
| 3 1 1 | 29.44 | 100 |
| 2 1 2 | 31.20 | 63 |
| 3 0 2 | 32.43 | 25 |
| 4 0 1 | 32.62 | 25 |
| 1 0 3 | 35.39 | 23 |
| 0 1 3 | 37.62 | 31 |
| 3 2 2 | 44.22 | 26 |
| 3 3 1 | 51.96 | 20 |

Atomic structure:
Cell: 11.732 6.111 7.794 Å, 90.00 90.00 90.00°
Space group Pnma (No. 62)
Asymmetric unit:
Rb  0.061  0.250  0.126
Rb  0.122  0.750  0.492
Co  0.148  0.250  0.724
Co  0.233  0.750  0.914
O  0.118  0.250  0.482
O  0.146  0.509  0.840